# 1
Theoretical powder diffractogram
Compound: NaPa3O8
Radiation: CuKα
Structure: a GGA-PBE-relaxed structure

The 8 most intense peaks (2θ = 5–70°), in order of rising 2θ:
- 2θ 16.48, rel. 24.7
- 2θ 23.39, rel. 20.2
- 2θ 28.75, rel. 100.0
- 2θ 33.32, rel. 33.5
- 2θ 37.39, rel. 11.5
- 2θ 47.84, rel. 51.9
- 2θ 56.77, rel. 46.4
- 2θ 59.54, rel. 9.8

Atomic structure:
Cell: 5.3782 5.3782 5.3782 Å, 90.00 90.00 90.00°
Element x y z (fractional)
Na: 0.0000 0.0000 0.0000
Pa: 0.0000 0.5000 0.5000
Pa: 0.5000 0.0000 0.5000
Pa: 0.5000 0.5000 0.0000
O: 0.2597 0.2597 0.2597
O: 0.2597 0.2597 0.7403
O: 0.2597 0.7403 0.2597
O: 0.2597 0.7403 0.7403
O: 0.7403 0.2597 0.2597
O: 0.7403 0.2597 0.7403
O: 0.7403 0.7403 0.2597
O: 0.7403 0.7403 0.7403

***

# 2
Theoretical powder diffractogram
Compound: NaPaPb2O8
Radiation: CuKα
Structure: a GGA-PBE-relaxed structure

The 8 most intense peaks (2θ = 5–70°), in order of rising 2θ:
- 2θ 18.12, rel. 22.9
- 2θ 28.14, rel. 100.0
- 2θ 32.03, rel. 12.0
- 2θ 32.88, rel. 22.0
- 2θ 46.56, rel. 34.3
- 2θ 47.19, rel. 16.7
- 2θ 54.73, rel. 16.3
- 2θ 55.85, rel. 33.4

Atomic structure:
Cell: 6.7879 6.7879 6.7879 Å, 132.69 132.69 69.15°
Element x y z (fractional)
Na: 0.0000 0.0000 0.0000
Pa: 0.2500 0.7500 0.5000
Pb: 0.5000 0.5000 0.0000
Pb: 0.7500 0.2500 0.5000
O: 0.0837 0.1128 0.4944
O: 0.1961 0.6524 0.0716
O: 0.3476 0.4192 0.5437
O: 0.4106 0.9163 0.0290
O: 0.5808 0.1245 0.9284
O: 0.6184 0.5894 0.5056
O: 0.8755 0.8039 0.4563
O: 0.8872 0.3816 0.9710

***

# 3
Theoretical powder diffractogram
Compound: Rb2NaPaO4
Radiation: CuKα
Structure: a GGA-PBE-relaxed structure

The 8 most intense peaks (2θ = 5–70°), in order of rising 2θ:
- 2θ 15.14, rel. 72.1
- 2θ 17.04, rel. 49.3
- 2θ 27.40, rel. 54.3
- 2θ 29.90, rel. 79.2
- 2θ 30.56, rel. 38.1
- 2θ 33.99, rel. 100.0
- 2θ 34.46, rel. 45.0
- 2θ 47.13, rel. 33.5

Atomic structure:
Cell: 6.1388 3.6506 6.8301 Å, 90.00 107.62 90.00°
Element x y z (fractional)
Rb: 0.0000 0.0000 0.0000
Rb: 0.5000 0.5000 0.0000
Na: 0.0000 0.5000 0.5000
Pa: 0.5000 0.0000 0.5000
O: 0.2847 0.0000 0.6805
O: 0.3016 0.5000 0.3210
O: 0.6984 0.5000 0.6790
O: 0.7153 0.0000 0.3195

***

# 4
Theoretical powder diffractogram
Compound: NaPa2RuO8
Radiation: CuKα
Structure: a GGA-PBE-relaxed structure

The 8 most intense peaks (2θ = 5–70°), in order of rising 2θ:
- 2θ 12.65, rel. 100.0
- 2θ 22.88, rel. 70.4
- 2θ 31.95, rel. 49.0
- 2θ 33.20, rel. 58.5
- 2θ 35.66, rel. 32.6
- 2θ 40.71, rel. 29.2
- 2θ 43.35, rel. 20.6
- 2θ 46.75, rel. 29.5

Atomic structure:
Cell: 5.3962 5.3962 6.9991 Å, 90.00 90.00 120.00°
Element x y z (fractional)
Na: 0.0000 0.0000 0.0000
Pa: 0.3333 0.6667 0.3677
Pa: 0.6667 0.3333 0.6323
Ru: 0.0000 0.0000 0.5000
O: 0.1758 0.3516 0.6469
O: 0.1758 0.8242 0.6469
O: 0.3333 0.6667 0.1024
O: 0.3516 0.1758 0.3531
O: 0.6484 0.8242 0.6469
O: 0.6667 0.3333 0.8976
O: 0.8242 0.1758 0.3531
O: 0.8242 0.6484 0.3531